(1)
For CaTh3Pb5, a GGA-PBE-relaxed structure gives the theoretical XRD peak list in this record (Cu Kα (λ = 1.5418 Å)).
No peak broadening, texture or thermal motion is included.

Atomic structure:
Cell lengths 9.751, 9.751, 6.604 Å; angles 90.00, 90.00, 120.00 degrees
Positions (direct):
Ca1 0.000 0.000 0.000
Ca2 0.000 0.000 0.500
Th1 0.000 0.384 0.250
Th2 0.000 0.616 0.750
Th3 0.384 0.000 0.250
Th4 0.384 0.384 0.750
Th5 0.616 0.000 0.750
Th6 0.616 0.616 0.250
Pb1 0.000 0.283 0.750
Pb2 0.000 0.717 0.250
Pb3 0.283 0.000 0.750
Pb4 0.283 0.283 0.250
Pb5 0.333 0.667 0.000
Pb6 0.333 0.667 0.500
Pb7 0.667 0.333 0.000
Pb8 0.667 0.333 0.500
Pb9 0.717 0.000 0.250
Pb10 0.717 0.717 0.750

Principal peaks in the range 5° ≤ 2θ ≤ 70°, in order of falling intensity:
- 2θ 32.76, I = 100
- 2θ 31.79, I = 96
- 2θ 31.12, I = 63
- 2θ 46.29, I = 27
- 2θ 40.88, I = 26
- 2θ 65.55, I = 25
- 2θ 57.25, I = 20
- 2θ 59.60, I = 20


(2)
For CaTh3Pb12, a GGA-PBE-relaxed structure gives the theoretical XRD peak list in this record (Cu Kα (λ = 1.5418 Å)).
No peak broadening, texture or thermal motion is included.

Atomic structure:
Cell lengths 4.940, 4.940, 19.470 Å; angles 90.00, 90.00, 90.00 degrees
Positions (direct):
Ca1 0.000 0.000 0.000
Th1 0.000 0.000 0.254
Th2 0.000 0.000 0.500
Th3 0.000 0.000 0.746
Pb1 0.000 0.500 0.125
Pb2 0.000 0.500 0.376
Pb3 0.000 0.500 0.624
Pb4 0.000 0.500 0.875
Pb5 0.500 0.000 0.125
Pb6 0.500 0.000 0.376
Pb7 0.500 0.000 0.624
Pb8 0.500 0.000 0.875
Pb9 0.500 0.500 0.000
Pb10 0.500 0.500 0.249
Pb11 0.500 0.500 0.500
Pb12 0.500 0.500 0.751

Principal peaks in the range 5° ≤ 2θ ≤ 70°, in order of falling intensity:
- 2θ 31.53, I = 100
- 2θ 36.37, I = 34
- 2θ 62.44, I = 30
- 2θ 52.81, I = 24
- 2θ 36.93, I = 16
- 2θ 63.19, I = 14
- 2θ 65.82, I = 13
- 2θ 52.39, I = 12


(3)
For Ca4ThPb15, a GGA-PBE-relaxed structure gives the theoretical XRD peak list in this record (Cu Kα (λ = 1.5418 Å)).
No peak broadening, texture or thermal motion is included.

Atomic structure:
Cell lengths 4.918, 4.918, 24.842 Å; angles 90.00, 90.00, 90.00 degrees
Positions (direct):
Ca1 0.000 0.000 0.100
Ca2 0.000 0.000 0.302
Ca3 0.000 0.000 0.698
Ca4 0.000 0.000 0.900
Th1 0.000 0.000 0.500
Pb1 0.000 0.500 0.000
Pb2 0.000 0.500 0.200
Pb3 0.000 0.500 0.399
Pb4 0.000 0.500 0.601
Pb5 0.000 0.500 0.800
Pb6 0.500 0.000 0.000
Pb7 0.500 0.000 0.200
Pb8 0.500 0.000 0.399
Pb9 0.500 0.000 0.601
Pb10 0.500 0.000 0.800
Pb11 0.500 0.500 0.100
Pb12 0.500 0.500 0.300
Pb13 0.500 0.500 0.500
Pb14 0.500 0.500 0.700
Pb15 0.500 0.500 0.900

Principal peaks in the range 5° ≤ 2θ ≤ 70°, in order of falling intensity:
- 2θ 31.40, I = 100
- 2θ 36.54, I = 34
- 2θ 62.58, I = 29
- 2θ 52.35, I = 24
- 2θ 36.16, I = 17
- 2θ 62.07, I = 15
- 2θ 65.53, I = 13
- 2θ 52.63, I = 12


(4)
For CaTl12Pb6, a GGA-PBE-relaxed structure gives the theoretical XRD peak list in this record (Cu Kα (λ = 1.5418 Å)).
No peak broadening, texture or thermal motion is included.

Atomic structure:
Cell lengths 8.950, 8.950, 8.950 Å; angles 106.10, 106.10, 106.10 degrees
Positions (direct):
Ca1 0.000 0.000 0.000
Tl1 0.058 0.280 0.807
Tl2 0.189 0.524 0.630
Tl3 0.193 0.942 0.720
Tl4 0.280 0.807 0.058
Tl5 0.370 0.811 0.476
Tl6 0.476 0.370 0.811
Tl7 0.524 0.630 0.189
Tl8 0.630 0.189 0.524
Tl9 0.720 0.193 0.942
Tl10 0.807 0.058 0.280
Tl11 0.811 0.476 0.370
Tl12 0.942 0.720 0.193
Pb1 0.140 0.413 0.229
Pb2 0.229 0.140 0.413
Pb3 0.413 0.229 0.140
Pb4 0.587 0.771 0.860
Pb5 0.771 0.860 0.587
Pb6 0.860 0.587 0.771

Principal peaks in the range 5° ≤ 2θ ≤ 70°, in order of falling intensity:
- 2θ 32.68, I = 100
- 2θ 28.74, I = 73
- 2θ 30.12, I = 65
- 2θ 33.14, I = 61
- 2θ 31.25, I = 58
- 2θ 33.73, I = 56
- 2θ 36.18, I = 54
- 2θ 33.86, I = 45


(5)
For CaTl8Pb5, a GGA-PBE-relaxed structure gives the theoretical XRD peak list in this record (Cu Kα (λ = 1.5418 Å)).
No peak broadening, texture or thermal motion is included.

Atomic structure:
Cell lengths 8.488, 8.488, 8.488 Å; angles 104.30, 104.30, 120.39 degrees
Positions (direct):
Ca1 0.000 0.000 0.000
Tl1 0.147 0.286 0.417
Tl2 0.168 0.315 0.820
Tl3 0.269 0.853 0.139
Tl4 0.495 0.348 0.180
Tl5 0.652 0.832 0.147
Tl6 0.685 0.505 0.853
Tl7 0.714 0.131 0.861
Tl8 0.869 0.731 0.583
Pb1 0.260 0.707 0.739
Pb2 0.293 0.033 0.554
Pb3 0.479 0.740 0.446
Pb4 0.750 0.250 0.500
Pb5 0.967 0.521 0.261

Principal peaks in the range 5° ≤ 2θ ≤ 70°, in order of falling intensity:
- 2θ 34.55, I = 100
- 2θ 27.78, I = 92
- 2θ 32.77, I = 75
- 2θ 32.99, I = 51
- 2θ 37.35, I = 35
- 2θ 27.20, I = 35
- 2θ 54.84, I = 29
- 2θ 36.60, I = 28


(6)
For CaTl4Pb3, a GGA-PBE-relaxed structure gives the theoretical XRD peak list in this record (Cu Kα (λ = 1.5418 Å)).
No peak broadening, texture or thermal motion is included.

Atomic structure:
Cell lengths 20.583, 5.036, 4.827 Å; angles 90.00, 102.68, 90.00 degrees
Positions (direct):
Ca1 0.000 0.000 0.000
Ca2 0.500 0.500 0.000
Tl1 0.124 0.000 0.623
Tl2 0.247 0.000 0.249
Tl3 0.253 0.500 0.751
Tl4 0.376 0.500 0.377
Tl5 0.624 0.500 0.623
Tl6 0.747 0.500 0.249
Tl7 0.753 0.000 0.751
Tl8 0.876 0.000 0.377
Pb1 0.000 0.500 0.500
Pb2 0.124 0.500 0.123
Pb3 0.376 0.000 0.877
Pb4 0.500 0.000 0.500
Pb5 0.624 0.000 0.123
Pb6 0.876 0.500 0.877

Principal peaks in the range 5° ≤ 2θ ≤ 70°, in order of falling intensity:
- 2θ 31.08, I = 100
- 2θ 31.41, I = 97
- 2θ 35.65, I = 35
- 2θ 35.77, I = 34
- 2θ 37.26, I = 31
- 2θ 61.19, I = 30
- 2θ 51.40, I = 25
- 2θ 52.52, I = 24


What did the third record say?
For Ca4ThPb15, a GGA-PBE-relaxed structure gives the theoretical XRD peak list in this record (Cu Kα (λ = 1.5418 Å)).
No peak broadening, texture or thermal motion is included.

Atomic structure:
Cell lengths 4.918, 4.918, 24.842 Å; angles 90.00, 90.00, 90.00 degrees
Positions (direct):
Ca1 0.000 0.000 0.100
Ca2 0.000 0.000 0.302
Ca3 0.000 0.000 0.698
Ca4 0.000 0.000 0.900
Th1 0.000 0.000 0.500
Pb1 0.000 0.500 0.000
Pb2 0.000 0.500 0.200
Pb3 0.000 0.500 0.399
Pb4 0.000 0.500 0.601
Pb5 0.000 0.500 0.800
Pb6 0.500 0.000 0.000
Pb7 0.500 0.000 0.200
Pb8 0.500 0.000 0.399
Pb9 0.500 0.000 0.601
Pb10 0.500 0.000 0.800
Pb11 0.500 0.500 0.100
Pb12 0.500 0.500 0.300
Pb13 0.500 0.500 0.500
Pb14 0.500 0.500 0.700
Pb15 0.500 0.500 0.900

Principal peaks in the range 5° ≤ 2θ ≤ 70°, in order of falling intensity:
- 2θ 31.40, I = 100
- 2θ 36.54, I = 34
- 2θ 62.58, I = 29
- 2θ 52.35, I = 24
- 2θ 36.16, I = 17
- 2θ 62.07, I = 15
- 2θ 65.53, I = 13
- 2θ 52.63, I = 12